Starting from a GGA-PBE-relaxed structure, the PXRD pattern of Y4CuIr2 was calculated for λ = 1.5418 Å (Cu Kα).
Lines closer than 0.1° are merged.

Peak list (10 most intense, 2θ = 5–70°, by angle)
two_theta  Rel. int.
11.18  2.2
21.47  1.3
22.45  34.5
25.98  1.2
33.96  1.2
37.07  100.0
43.77  18.5
53.42  17.2
58.66  8.0
66.81  34.6

Cell and atoms:
Cell: 8.3955 8.3955 8.3955 Å, 33.60 33.60 33.60°
Sites, in units of the cell vectors:
Y (0.1229, 0.1229, 0.1229)
Y (0.3734, 0.3734, 0.3734)
Y (0.6266, 0.6266, 0.6266)
Y (0.8771, 0.8771, 0.8771)
Cu (0.5000, 0.5000, 0.5000)
Ir (0.2487, 0.2487, 0.2487)
Ir (0.7513, 0.7513, 0.7513)

Starting from a GGA-PBE-relaxed structure, the PXRD pattern of CrGa3Ru4 was calculated for λ = 1.5418 Å (Cu Kα).
Lines closer than 0.1° are merged.

Peak list (8 most intense, 2θ = 5–70°, by angle)
two_theta  Rel. int.
29.55  1.8
29.68  3.6
42.41  100.0
52.58  1.5
61.34  5.4
61.62  10.6
69.60  0.7
69.84  1.3

Cell and atoms:
Cell: 4.2573 4.2573 12.0912 Å, 90.00 90.00 90.00°
Sites, in units of the cell vectors:
Cr (0.0000, 0.0000, 0.0000)
Cr (0.5000, 0.5000, 0.5000)
Ga (0.0000, 0.0000, 0.2491)
Ga (0.0000, 0.0000, 0.5000)
Ga (0.0000, 0.0000, 0.7509)
Ga (0.5000, 0.5000, 0.0000)
Ga (0.5000, 0.5000, 0.2509)
Ga (0.5000, 0.5000, 0.7491)
Ru (0.0000, 0.5000, 0.1248)
Ru (0.0000, 0.5000, 0.3752)
Ru (0.0000, 0.5000, 0.6248)
Ru (0.0000, 0.5000, 0.8752)
Ru (0.5000, 0.0000, 0.1248)
Ru (0.5000, 0.0000, 0.3752)
Ru (0.5000, 0.0000, 0.6248)
Ru (0.5000, 0.0000, 0.8752)